Theoretical powder X-ray diffraction pattern
Compound: NpRh5
Radiation: Cu Ka
Structure: a DFT-relaxed cell (PBE, Alexandria)

Structural model:
```
NpRh5
1.0
8.8354 0.0000 0.0000
0.0000 4.0088 0.0000
-1.8114 0.0000 5.2768
Np Rh
2 10
direct
0.0000 0.0000 0.0000 Np
0.5000 0.5000 0.0000 Np
0.0000 0.0000 0.5000 Rh
0.1630 0.5000 0.3299 Rh
0.1696 0.5000 0.8273 Rh
0.3304 0.0000 0.1727 Rh
0.3370 0.0000 0.6701 Rh
0.5000 0.5000 0.5000 Rh
0.6630 0.0000 0.3299 Rh
0.6696 0.0000 0.8273 Rh
0.8304 0.5000 0.1727 Rh
0.8370 0.5000 0.6701 Rh
```

Largest 6 diffraction maxima, most intense first, 2θ from 15° to 90°:
index, 2θ/deg, I/Imax
3 1 0, 39.37, 100
0 2 0, 45.24, 18
4 0 -2, 45.82, 16
2 0 2, 46.28, 16
3 3 0, 79.55, 13
7 1 -2, 80.39, 12